The following is a theoretical XRD peak list of Mg6TiCo. It was derived from a DFT-relaxed cell (PBE, the Materials Project), using a wavelength of 1.5418 Å.
Neutral-atom scattering factors, no anomalous dispersion.

Principal peaks in the range 10 to 90 degrees two-theta, sorted by position:
2θ/deg	d [Å]	I/Imax
16.75	5.292	431
33.88	2.646	524
37.87	2.376	818
38.16	2.358	469
39.03	2.308	1000
51.94	1.761	290

Structure:
abc: 4.717 6.037 11.000
angles: 90.00 90.00 90.00
Space group Amm2 (No. 38)
Symmetry-distinct sites (fractional):
Mg1 0.000 0.000 0.000 x2
Mg2 0.000 0.240 0.255 x4
Mg3 0.500 0.000 0.838 x2
Mg4 0.500 0.240 0.593 x4
Ti1 0.500 0.000 0.364 x2
Co1 0.000 0.000 0.471 x2

=====

The following is a theoretical XRD peak list of LiIO4. It was derived from a DFT-relaxed cell (PBE, the Materials Project), using a wavelength of 1.5418 Å.
Neutral-atom scattering factors, no anomalous dispersion.

Principal peaks in the range 10 to 90 degrees two-theta, sorted by position:
2θ/deg	d [Å]	I/Imax
17.83	4.974	286
20.43	4.348	477
20.57	4.318	1000
24.76	3.595	603
24.98	3.564	778
26.69	3.339	348

Structure:
abc: 5.386 8.696 8.551
angles: 90.00 112.56 90.00
Space group P2_1/c (No. 14)
Symmetry-distinct sites (fractional):
Li1 0.082 0.037 0.331 x4
I1 0.348 0.706 0.569 x4
O1 0.132 0.628 0.021 x4
O2 0.246 0.582 0.388 x4
O3 0.310 0.234 0.374 x4
O4 0.323 0.603 0.744 x4

=====

The following is a theoretical XRD peak list of SmPu. It was derived from a DFT-relaxed cell (PBE, the Materials Project), using a wavelength of 1.5418 Å.
Neutral-atom scattering factors, no anomalous dispersion.

Principal peaks in the range 10 to 90 degrees two-theta, sorted by position:
2θ/deg	d [Å]	I/Imax
28.48	3.134	259
30.21	2.958	260
32.33	2.769	1000
50.43	1.809	193
55.02	1.669	228
59.93	1.544	231

Structure:
abc: 3.6189 3.6189 5.9160
angles: 90.00 90.00 120.00
Space group P-6m2 (No. 187)
Symmetry-distinct sites (fractional):
Sm1 0.0000 0.0000 0.0000 x1
Pu1 0.3333 0.6667 0.5000 x1

=====

The following is a theoretical XRD peak list of Ag4Hg5S5IBrCl2. It was derived from a DFT-relaxed cell (PBE, the Materials Project), using a wavelength of 1.5418 Å.
Neutral-atom scattering factors, no anomalous dispersion.

Principal peaks in the range 10 to 90 degrees two-theta, sorted by position:
2θ/deg	d [Å]	I/Imax
22.07	4.027	607
26.23	3.398	471
28.94	3.085	634
29.08	3.071	358
29.59	3.019	1000
32.22	2.778	371

Structure:
abc: 12.533 4.381 17.654
angles: 90.00 90.41 90.00
Space group P2 (No. 3)
Symmetry-distinct sites (fractional):
Ag1 0.105 0.000 0.187 x2
Ag2 0.187 0.556 0.581 x2
Ag3 0.313 0.711 0.078 x2
Ag4 0.392 0.254 0.686 x2
Hg1 0.000 0.479 0.000 x1
Hg2 0.078 0.127 0.408 x2
Hg3 0.172 0.504 0.839 x2
Hg4 0.327 0.754 0.342 x2
Hg5 0.420 0.133 0.908 x2
Hg6 0.500 0.784 0.500 x1
S1 0.000 0.466 0.500 x1
S2 0.016 0.494 0.136 x2
S3 0.138 0.750 0.320 x2
S4 0.360 0.507 0.817 x2
S5 0.483 0.766 0.636 x2
S6 0.500 0.796 0.000 x1
I1 0.328 0.251 0.184 x2
Br1 0.175 0.002 0.681 x2
Cl1 0.192 0.985 0.981 x2
Cl2 0.305 0.279 0.485 x2

=====

Please write out number 1 again, unchanged.
The following is a theoretical XRD peak list of Mg6TiCo. It was derived from a DFT-relaxed cell (PBE, the Materials Project), using a wavelength of 1.5418 Å.
Neutral-atom scattering factors, no anomalous dispersion.

Principal peaks in the range 10 to 90 degrees two-theta, sorted by position:
2θ/deg	d [Å]	I/Imax
16.75	5.292	431
33.88	2.646	524
37.87	2.376	818
38.16	2.358	469
39.03	2.308	1000
51.94	1.761	290

Structure:
abc: 4.717 6.037 11.000
angles: 90.00 90.00 90.00
Space group Amm2 (No. 38)
Symmetry-distinct sites (fractional):
Mg1 0.000 0.000 0.000 x2
Mg2 0.000 0.240 0.255 x4
Mg3 0.500 0.000 0.838 x2
Mg4 0.500 0.240 0.593 x4
Ti1 0.500 0.000 0.364 x2
Co1 0.000 0.000 0.471 x2